(1)
This entry pairs a crystal structure of Ac3PdPt2 with its computed XRD peak list. Radiation: Cu Kα. Structure: a structure optimized by DFT (PBE).
Kinematic intensities with the Lorentz-polarization factor, no thermal factor.

The 8 most intense peaks (2θ from 15° to 90°), in order of rising 2θ:
d_spacing  2θ (°)  I_rel
3.591  24.80  4
3.110  28.71  100
2.199  41.05  78
1.795  50.86  28
1.555  59.45  13
1.391  67.33  37
1.269  74.79  27
1.099  89.05  9

Atomic structure:
a b c (Å): 9.8406 9.8406 9.8406
angles (deg): 154.19 154.19 36.82
Element x y z (fractional)
1 Ac 0.0000 0.0000 0.0000
2 Ac 0.3318 0.3318 0.0000
3 Ac 0.6682 0.6682 0.0000
4 Pd 0.5000 0.5000 0.0000
5 Pt 0.1656 0.1656 0.0000
6 Pt 0.8344 0.8344 0.0000

---

(2)
This entry pairs a crystal structure of Ac3Pd4Pt4 with its computed XRD peak list. Radiation: Cu Kα. Structure: a structure optimized by DFT (PBE).
Kinematic intensities with the Lorentz-polarization factor, no thermal factor.

The 8 most intense peaks (2θ from 15° to 90°), in order of rising 2θ:
d_spacing  2θ (°)  I_rel
3.276  27.22  27
2.837  31.53  100
2.538  35.37  47
2.145  42.13  31
1.891  48.11  38
1.711  53.57  15
1.638  56.15  22
1.302  72.63  14

Atomic structure:
a b c (Å): 6.9494 6.9494 6.9494
angles (deg): 109.47 109.47 109.47
Element x y z (fractional)
1 Ac 0.0000 0.5000 0.5000
2 Ac 0.5000 0.0000 0.5000
3 Ac 0.5000 0.5000 0.0000
4 Pd 0.0000 0.0000 0.7566
5 Pd 0.0000 0.7566 0.0000
6 Pd 0.2434 0.2434 0.2434
7 Pd 0.7566 0.0000 0.0000
8 Pt 0.0000 0.0000 0.3942
9 Pt 0.0000 0.3942 0.0000
10 Pt 0.3942 0.0000 0.0000
11 Pt 0.6058 0.6058 0.6058

---

(3)
This entry pairs a crystal structure of Ac4Pd7Pt6 with its computed XRD peak list. Radiation: Cu Kα. Structure: a structure optimized by DFT (PBE).
Kinematic intensities with the Lorentz-polarization factor, no thermal factor.

The 8 most intense peaks (2θ from 15° to 90°), in order of rising 2θ:
d_spacing  2θ (°)  I_rel
3.127  28.55  14
2.797  32.00  16
2.553  35.15  100
2.211  40.81  57
2.085  43.41  15
1.563  59.09  30
1.333  70.65  26
1.203  79.67  10

Atomic structure:
a b c (Å): 7.6590 7.6590 7.6590
angles (deg): 109.47 109.47 109.47
Element x y z (fractional)
1 Ac 0.0000 0.0000 0.5000
2 Ac 0.0000 0.5000 0.0000
3 Ac 0.5000 0.0000 0.0000
4 Ac 0.5000 0.5000 0.5000
5 Pd 0.0000 0.0000 0.0000
6 Pd 0.2500 0.5000 0.7500
7 Pd 0.2500 0.7500 0.5000
8 Pd 0.5000 0.2500 0.7500
9 Pd 0.5000 0.7500 0.2500
10 Pd 0.7500 0.2500 0.5000
11 Pd 0.7500 0.5000 0.2500
12 Pt 0.0000 0.3028 0.3028
13 Pt 0.0000 0.6972 0.6972
14 Pt 0.3028 0.0000 0.3028
15 Pt 0.3028 0.3028 0.0000
16 Pt 0.6972 0.0000 0.6972
17 Pt 0.6972 0.6972 0.0000

---

(4)
This entry pairs a crystal structure of Ac9Pd2Pt4 with its computed XRD peak list. Radiation: Cu Kα. Structure: a structure optimized by DFT (PBE).
Kinematic intensities with the Lorentz-polarization factor, no thermal factor.

The 8 most intense peaks (2θ from 15° to 90°), in order of rising 2θ:
d_spacing  2θ (°)  I_rel
5.628  15.75  17
3.369  26.45  100
2.602  34.47  66
2.211  40.82  47
2.012  45.07  25
1.848  49.30  18
1.685  54.47  18
1.383  67.75  20

Atomic structure:
a b c (Å): 7.6577 7.6577 21.2784
angles (deg): 90.00 90.00 120.00
Element x y z (fractional)
1 Ac 0.0000 0.3219 0.2500
2 Ac 0.0000 0.6781 0.7500
3 Ac 0.0160 0.3511 0.5828
4 Ac 0.0160 0.6649 0.0828
5 Ac 0.3219 0.0000 0.2500
6 Ac 0.3219 0.3219 0.7500
7 Ac 0.3351 0.3511 0.0828
8 Ac 0.3351 0.9840 0.5828
9 Ac 0.3511 0.0160 0.9172
10 Ac 0.3511 0.3351 0.4172
11 Ac 0.6489 0.6649 0.5828
12 Ac 0.6489 0.9840 0.0828
13 Ac 0.6649 0.0160 0.4172
14 Ac 0.6649 0.6489 0.9172
15 Ac 0.6781 0.0000 0.7500
16 Ac 0.6781 0.6781 0.2500
17 Ac 0.9840 0.3351 0.9172
18 Ac 0.9840 0.6489 0.4172
19 Pd 0.0000 0.0000 0.1606
20 Pd 0.0000 0.0000 0.3394
21 Pd 0.0000 0.0000 0.6606
22 Pd 0.0000 0.0000 0.8394
23 Pt 0.3333 0.6667 0.1734
24 Pt 0.3333 0.6667 0.4932
25 Pt 0.3333 0.6667 0.6734
26 Pt 0.3333 0.6667 0.9932
27 Pt 0.6667 0.3333 0.0068
28 Pt 0.6667 0.3333 0.3266
29 Pt 0.6667 0.3333 0.5068
30 Pt 0.6667 0.3333 0.8266

---

(5)
This entry pairs a crystal structure of Ac8Pd4Pt3 with its computed XRD peak list. Radiation: Cu Kα. Structure: a structure optimized by DFT (PBE).
Kinematic intensities with the Lorentz-polarization factor, no thermal factor.

The 8 most intense peaks (2θ from 15° to 90°), in order of rising 2θ:
d_spacing  2θ (°)  I_rel
3.593  24.78  14
3.112  28.69  100
2.201  41.02  77
1.797  50.82  28
1.393  67.21  15
1.391  67.31  18
1.271  74.65  9
1.270  74.73  13

Atomic structure:
a b c (Å): 8.7965 8.7965 8.7939
angles (deg): 119.90 119.90 90.08
Element x y z (fractional)
1 Ac 0.2449 0.7551 0.0000
2 Ac 0.2462 0.2462 0.4887
3 Ac 0.2472 0.2472 0.0036
4 Ac 0.2518 0.7482 0.5000
5 Ac 0.7482 0.2518 0.5000
6 Ac 0.7528 0.7528 0.9964
7 Ac 0.7538 0.7538 0.5113
8 Ac 0.7551 0.2449 0.0000
9 Pd 0.0000 0.0000 0.0000
10 Pd 0.0000 0.0000 0.5000
11 Pd 0.0000 0.5000 0.5000
12 Pd 0.5000 0.0000 0.5000
13 Pt 0.0000 0.5000 0.0000
14 Pt 0.5000 0.0000 0.0000
15 Pt 0.5000 0.5000 0.5000

---

(6)
This entry pairs a crystal structure of Ac3Pd3Pt2 with its computed XRD peak list. Radiation: Cu Kα. Structure: a structure optimized by DFT (PBE).
Kinematic intensities with the Lorentz-polarization factor, no thermal factor.

The 8 most intense peaks (2θ from 15° to 90°), in order of rising 2θ:
d_spacing  2θ (°)  I_rel
2.902  30.81  94
2.836  31.54  100
2.724  32.88  41
2.562  35.03  37
2.544  35.28  29
2.352  38.26  77
2.212  40.78  52
1.966  46.18  25

Atomic structure:
a b c (Å): 6.0958 6.0958 16.3442
angles (deg): 90.00 90.00 137.44
Element x y z (fractional)
1 Ac 0.1092 0.8908 0.7500
2 Ac 0.3786 0.6214 0.5896
3 Ac 0.3786 0.6214 0.9104
4 Ac 0.6214 0.3786 0.0896
5 Ac 0.6214 0.3786 0.4104
6 Ac 0.8908 0.1092 0.2500
7 Pd 0.0887 0.9113 0.5528
8 Pd 0.0887 0.9113 0.9472
9 Pd 0.1579 0.8421 0.2500
10 Pd 0.8421 0.1579 0.7500
11 Pd 0.9113 0.0887 0.0528
12 Pd 0.9113 0.0887 0.4472
13 Pt 0.3177 0.6823 0.1206
14 Pt 0.3177 0.6823 0.3794
15 Pt 0.6823 0.3177 0.6206
16 Pt 0.6823 0.3177 0.8794

---

(7)
This entry pairs a crystal structure of Ac3Pd2Pt4 with its computed XRD peak list. Radiation: Cu Kα. Structure: a structure optimized by DFT (PBE).
Kinematic intensities with the Lorentz-polarization factor, no thermal factor.

The 8 most intense peaks (2θ from 15° to 90°), in order of rising 2θ:
d_spacing  2θ (°)  I_rel
2.854  31.34  100
2.279  39.54  55
2.065  43.83  14
1.781  51.30  26
1.530  60.49  32
1.403  66.65  24
1.316  71.73  10
1.110  88.00  12

Atomic structure:
a b c (Å): 4.5580 4.5580 24.7852
angles (deg): 90.00 90.00 120.00
Element x y z (fractional)
1 Ac 0.0000 0.0000 0.0834
2 Ac 0.0000 0.0000 0.2501
3 Ac 0.0000 0.0000 0.4163
4 Ac 0.0000 0.0000 0.5837
5 Ac 0.0000 0.0000 0.7499
6 Ac 0.0000 0.0000 0.9166
7 Pd 0.3333 0.6667 0.0000
8 Pd 0.6667 0.3333 0.0000
9 Pd 0.6667 0.3333 0.3332
10 Pd 0.6667 0.3333 0.6668
11 Pt 0.3333 0.6667 0.1661
12 Pt 0.3333 0.6667 0.3332
13 Pt 0.3333 0.6667 0.5000
14 Pt 0.3333 0.6667 0.6668
15 Pt 0.3333 0.6667 0.8339
16 Pt 0.6667 0.3333 0.1664
17 Pt 0.6667 0.3333 0.5000
18 Pt 0.6667 0.3333 0.8336

---

(8)
This entry pairs a crystal structure of Ac8PdRuPt2 with its computed XRD peak list. Radiation: Cu Kα. Structure: a structure optimized by DFT (PBE).
Kinematic intensities with the Lorentz-polarization factor, no thermal factor.

The 8 most intense peaks (2θ from 15° to 90°), in order of rising 2θ:
d_spacing  2θ (°)  I_rel
3.348  26.62  60
3.338  26.70  100
3.239  27.54  46
2.599  34.50  43
2.590  34.63  30
2.220  40.64  31
2.122  42.61  55
1.829  49.85  37

Atomic structure:
a b c (Å): 7.1267 8.8795 7.2457
angles (deg): 90.00 90.40 90.00
Element x y z (fractional)
1 Ac 0.2288 0.2395 0.3308
2 Ac 0.2288 0.7605 0.3308
3 Ac 0.2564 0.0000 0.8277
4 Ac 0.2611 0.5000 0.8378
5 Ac 0.7389 0.5000 0.1622
6 Ac 0.7436 0.0000 0.1723
7 Ac 0.7712 0.2395 0.6692
8 Ac 0.7712 0.7605 0.6692
9 Pd 0.0000 0.5000 0.5000
10 Ru 0.0000 0.0000 0.5000
11 Pt 0.5000 0.2500 0.0000
12 Pt 0.5000 0.7500 0.0000

---

(9)
This entry pairs a crystal structure of Ac6PdPt2S with its computed XRD peak list. Radiation: Cu Kα. Structure: a structure optimized by DFT (PBE).
Kinematic intensities with the Lorentz-polarization factor, no thermal factor.

The 8 most intense peaks (2θ from 15° to 90°), in order of rising 2θ:
d_spacing  2θ (°)  I_rel
5.611  15.79  18
3.357  26.56  100
2.604  34.44  54
2.195  41.12  41
2.019  44.89  25
1.837  49.63  18
1.678  54.69  15
1.386  67.60  17

Atomic structure:
a b c (Å): 8.3887 8.3887 8.3887
angles (deg): 53.90 53.90 53.90
Element x y z (fractional)
1 Ac 0.0047 0.3165 0.6787
2 Ac 0.1921 0.8334 0.4901
3 Ac 0.3165 0.6787 0.0047
4 Ac 0.4901 0.1921 0.8334
5 Ac 0.6787 0.0047 0.3165
6 Ac 0.8334 0.4901 0.1921
7 Pd 0.9085 0.9085 0.9085
8 Pt 0.0887 0.0887 0.0887
9 Pt 0.5943 0.5943 0.5943
10 S 0.4130 0.4130 0.4130

---

(10)
This entry pairs a crystal structure of Ac8PdPt3Se4 with its computed XRD peak list. Radiation: Cu Kα. Structure: a structure optimized by DFT (PBE).
Kinematic intensities with the Lorentz-polarization factor, no thermal factor.

The 8 most intense peaks (2θ from 15° to 90°), in order of rising 2θ:
d_spacing  2θ (°)  I_rel
3.172  28.13  100
2.311  38.97  40
2.180  41.41  37
1.797  50.81  20
1.586  58.17  13
1.453  64.10  17
1.387  67.55  17
1.283  73.89  12

Atomic structure:
a b c (Å): 9.2773 9.2773 9.2773
angles (deg): 56.08 56.08 56.08
Element x y z (fractional)
1 Ac 0.2404 0.7438 0.7438
2 Ac 0.2421 0.2421 0.2421
3 Ac 0.2562 0.2562 0.7596
4 Ac 0.2562 0.7596 0.2562
5 Ac 0.7438 0.2404 0.7438
6 Ac 0.7438 0.7438 0.2404
7 Ac 0.7579 0.7579 0.7579
8 Ac 0.7596 0.2562 0.2562
9 Pd 0.5000 0.5000 0.5000
10 Pt 0.0000 0.0000 0.5000
11 Pt 0.0000 0.5000 0.0000
12 Pt 0.5000 0.0000 0.0000
13 Se 0.0000 0.0000 0.0000
14 Se 0.0000 0.5000 0.5000
15 Se 0.5000 0.0000 0.5000
16 Se 0.5000 0.5000 0.0000

---

(11)
This entry pairs a crystal structure of Ac2SiPd4Pt2 with its computed XRD peak list. Radiation: Cu Kα. Structure: a structure optimized by DFT (PBE).
Kinematic intensities with the Lorentz-polarization factor, no thermal factor.

The 8 most intense peaks (2θ from 15° to 90°), in order of rising 2θ:
d_spacing  2θ (°)  I_rel
4.483  19.81  8
3.176  28.09  12
2.592  34.61  100
2.245  40.17  54
1.587  58.12  35
1.354  69.39  24
1.352  69.52  12
1.296  73.01  11

Atomic structure:
a b c (Å): 6.3465 6.3465 6.3465
angles (deg): 119.93 119.93 90.13
Element x y z (fractional)
1 Ac 0.2500 0.7500 0.5000
2 Ac 0.7500 0.2500 0.5000
3 Si 0.0000 0.0000 0.0000
4 Pd 0.2735 0.2735 0.5470
5 Pd 0.2735 0.7265 0.0000
6 Pd 0.7265 0.2735 0.0000
7 Pd 0.7265 0.7265 0.4530
8 Pt 0.2659 0.2659 0.0000
9 Pt 0.7341 0.7341 0.0000

---

(12)
This entry pairs a crystal structure of AcSi2PdPt5 with its computed XRD peak list. Radiation: Cu Kα. Structure: a structure optimized by DFT (PBE).
Kinematic intensities with the Lorentz-polarization factor, no thermal factor.

The 8 most intense peaks (2θ from 15° to 90°), in order of rising 2θ:
d_spacing  2θ (°)  I_rel
3.466  25.70  83
2.841  31.48  88
2.568  34.93  100
2.089  43.32  70
1.952  46.54  57
1.789  51.05  53
1.477  62.93  23
1.334  70.62  29

Atomic structure:
a b c (Å): 4.1775 4.1775 10.3987
angles (deg): 90.00 90.00 90.00
Element x y z (fractional)
1 Ac 0.0000 0.0000 0.0000
2 Si 0.5000 0.5000 0.2281
3 Si 0.5000 0.5000 0.7719
4 Pd 0.0000 0.0000 0.5000
5 Pt 0.0000 0.5000 0.3335
6 Pt 0.0000 0.5000 0.6665
7 Pt 0.5000 0.0000 0.3335
8 Pt 0.5000 0.0000 0.6665
9 Pt 0.5000 0.5000 0.0000